Entry 1:
Sm3ErCu2: calculated X-ray diffraction stick pattern (Cu Ka), based on a crystal structure in Alexandria, relaxed with GGA-PBE.
Neutral-atom scattering factors, no anomalous dispersion.

Principal peaks in the range 2θ = 5–70°, sorted by position:
| 2θ/deg | intensity | index |
| --- | --- | --- |
| 29.90 | 100 | 1 2 1 |
| 31.43 | 33 | 1 0 2 |
| 32.78 | 16 | 0 2 2 |
| 32.94 | 21 | 0 3 1 |
| 33.06 | 72 | 1 1 2 |
| 35.32 | 44 | 1 3 0 |
| 36.08 | 52 | 2 0 0 |
| 40.30 | 16 | 0 1 3 |
| 55.00 | 18 | 1 5 0 |
| 60.80 | 19 | 1 4 3 |

Cell and atoms:
```
data_Sm3ErCu2
_chemical_formula_sum 'Sm6 Er2 Cu4'
_cell_length_a 4.979
_cell_length_b 8.867
_cell_length_c 6.938
_cell_angle_alpha 90.00
_cell_angle_beta 90.00
_cell_angle_gamma 90.00
_symmetry_space_group_name_H-M 'P m c 21'
_symmetry_Int_Tables_number 26
_symmetry_space_group_name_Hall 'P 2c -2'
loop_
_atom_site_label
_atom_site_type_symbol
_atom_site_fract_x
_atom_site_fract_y
_atom_site_fract_z
Sm1 Sm 0.000 0.078 0.000
Sm2 Sm 0.000 0.340 0.364
Sm3 Sm 0.500 0.164 0.654
Er1 Er 0.500 0.425 0.020
Cu1 Cu 0.000 0.350 0.773
Cu2 Cu 0.500 0.157 0.244
```

=====

Entry 2:
Sm4ErCu5: calculated X-ray diffraction stick pattern (Cu Ka), based on a crystal structure in Alexandria, relaxed with GGA-PBE.
Neutral-atom scattering factors, no anomalous dispersion.

Principal peaks in the range 2θ = 5–70°, sorted by position:
| 2θ/deg | intensity | index |
| --- | --- | --- |
| 25.03 | 9 | 0 0 5 |
| 25.40 | 17 | 1 0 0 |
| 35.96 | 100 | 1 0 5 |
| 36.23 | 50 | 1 1 0 |
| 44.54 | 8 | 1 1 5 |
| 51.37 | 9 | 0 0 10 |
| 52.16 | 17 | 2 0 0 |
| 58.15 | 4 | 1 0 10 |
| 64.47 | 17 | 1 1 10 |
| 64.99 | 34 | 2 1 5 |

Cell and atoms:
```
data_Sm4ErCu5
_chemical_formula_sum 'Sm4 Er1 Cu5'
_cell_length_a 3.507
_cell_length_b 3.507
_cell_length_c 17.786
_cell_angle_alpha 90.00
_cell_angle_beta 90.00
_cell_angle_gamma 90.00
_symmetry_space_group_name_H-M 'P 4/m m m'
_symmetry_Int_Tables_number 123
_symmetry_space_group_name_Hall '-P 4 2'
loop_
_atom_site_label
_atom_site_type_symbol
_atom_site_fract_x
_atom_site_fract_y
_atom_site_fract_z
Sm1 Sm 0.000 0.000 0.101
Sm2 Sm 0.000 0.000 0.304
Er1 Er 0.000 0.000 0.500
Cu1 Cu 0.500 0.500 0.000
Cu2 Cu 0.500 0.500 0.202
Cu3 Cu 0.500 0.500 0.408
```

=====

Entry 3:
SmErTlCu: calculated X-ray diffraction stick pattern (Cu Ka), based on a crystal structure in Alexandria, relaxed with GGA-PBE.
Neutral-atom scattering factors, no anomalous dispersion.

Principal peaks in the range 2θ = 5–70°, sorted by position:
| 2θ/deg | intensity | index |
| --- | --- | --- |
| 20.88 | 11 | 1 1 1 |
| 24.15 | 1 | 2 0 0 |
| 34.42 | 100 | 2 2 0 |
| 40.60 | 6 | 3 1 1 |
| 49.47 | 18 | 4 0 0 |
| 54.25 | 3 | 3 3 1 |
| 61.66 | 37 | 4 2 2 |
| 65.85 | 2 | 5 1 1 |

Cell and atoms:
```
data_SmErTlCu
_chemical_formula_sum 'Sm4 Er4 Tl4 Cu4'
_cell_length_a 7.370
_cell_length_b 7.370
_cell_length_c 7.370
_cell_angle_alpha 90.00
_cell_angle_beta 90.00
_cell_angle_gamma 90.00
_symmetry_space_group_name_H-M 'F -4 3 m'
_symmetry_Int_Tables_number 216
_symmetry_space_group_name_Hall 'F -4 2 3'
loop_
_atom_site_label
_atom_site_type_symbol
_atom_site_fract_x
_atom_site_fract_y
_atom_site_fract_z
Sm1 Sm 0.000 0.000 0.000
Er1 Er 0.000 0.000 0.500
Tl1 Tl 0.250 0.250 0.250
Cu1 Cu 0.250 0.250 0.750
```

=====

Entry 4:
SmErTmCu: calculated X-ray diffraction stick pattern (Cu Ka), based on a crystal structure in Alexandria, relaxed with GGA-PBE.
Neutral-atom scattering factors, no anomalous dispersion.

Principal peaks in the range 2θ = 5–70°, sorted by position:
| 2θ/deg | intensity | index |
| --- | --- | --- |
| 27.71 | 27 | 1 0 1 |
| 30.88 | 19 | 0 0 3 |
| 33.06 | 100 | 1 0 2 |
| 36.66 | 52 | 1 1 0 |
| 40.60 | 12 | 1 0 3 |
| 48.67 | 21 | 1 1 3 |
| 52.82 | 18 | 2 0 0 |
| 59.52 | 14 | 1 0 5 |
| 62.45 | 10 | 2 0 3 |
| 63.74 | 30 | 2 1 2 |

Cell and atoms:
```
data_SmErTmCu
_chemical_formula_sum 'Sm1 Er1 Tm1 Cu1'
_cell_length_a 3.466
_cell_length_b 3.466
_cell_length_c 8.686
_cell_angle_alpha 90.00
_cell_angle_beta 90.00
_cell_angle_gamma 90.00
_symmetry_space_group_name_H-M 'P 4 m m'
_symmetry_Int_Tables_number 99
_symmetry_space_group_name_Hall 'P 4 -2'
loop_
_atom_site_label
_atom_site_type_symbol
_atom_site_fract_x
_atom_site_fract_y
_atom_site_fract_z
Sm1 Sm 0.000 0.000 0.000
Er1 Er 0.500 0.500 0.693
Tm1 Tm 0.500 0.500 0.306
Cu1 Cu 0.000 0.000 0.497
```

=====

Entry 5:
SmErZnCu: calculated X-ray diffraction stick pattern (Cu Ka), based on a crystal structure in Alexandria, relaxed with GGA-PBE.
Neutral-atom scattering factors, no anomalous dispersion.

Principal peaks in the range 2θ = 5–70°, sorted by position:
| 2θ/deg | intensity | index |
| --- | --- | --- |
| 24.99 | 10 | 0 0 2 |
| 25.23 | 18 | 1 0 0 |
| 35.81 | 100 | 1 0 2 |
| 35.98 | 50 | 1 1 0 |
| 44.31 | 9 | 1 1 2 |
| 51.28 | 8 | 0 0 4 |
| 51.80 | 18 | 2 0 0 |
| 57.99 | 4 | 1 0 4 |
| 64.23 | 17 | 1 1 4 |
| 64.58 | 35 | 2 1 2 |

Cell and atoms:
```
data_SmErZnCu
_chemical_formula_sum 'Sm1 Er1 Zn1 Cu1'
_cell_length_a 3.530
_cell_length_b 3.530
_cell_length_c 7.127
_cell_angle_alpha 90.00
_cell_angle_beta 90.00
_cell_angle_gamma 90.00
_symmetry_space_group_name_H-M 'P 4 m m'
_symmetry_Int_Tables_number 99
_symmetry_space_group_name_Hall 'P 4 -2'
loop_
_atom_site_label
_atom_site_type_symbol
_atom_site_fract_x
_atom_site_fract_y
_atom_site_fract_z
Sm1 Sm 0.000 0.000 0.000
Er1 Er 0.000 0.000 0.487
Zn1 Zn 0.500 0.500 0.731
Cu1 Cu 0.500 0.500 0.265
```

=====

Entry 6:
ErCu9Sn2: calculated X-ray diffraction stick pattern (Cu Ka), based on a crystal structure in Alexandria, relaxed with GGA-PBE.
Neutral-atom scattering factors, no anomalous dispersion.

Principal peaks in the range 2θ = 5–70°, sorted by position:
| 2θ/deg | intensity | index |
| --- | --- | --- |
| 33.45 | 25 | 3 1 0 |
| 34.96 | 20 | 2 2 1 |
| 36.08 | 16 | 0 0 2 |
| 38.15 | 100 | 3 1 1 |
| 42.10 | 24 | 2 0 2 |
| 42.55 | 31 | 3 2 1 |
| 43.50 | 66 | 2 1 2 |
| 44.08 | 24 | 4 1 0 |
| 48.04 | 15 | 4 2 0 |
| 66.24 | 24 | 6 0 0 |

Cell and atoms:
```
data_ErCu9Sn2
_chemical_formula_sum 'Er2 Cu18 Sn4'
_cell_length_a 8.470
_cell_length_b 8.470
_cell_length_c 4.979
_cell_angle_alpha 90.00
_cell_angle_beta 90.00
_cell_angle_gamma 90.00
_symmetry_space_group_name_H-M 'P 4/m b m'
_symmetry_Int_Tables_number 127
_symmetry_space_group_name_Hall '-P 4 2ab'
loop_
_atom_site_label
_atom_site_type_symbol
_atom_site_fract_x
_atom_site_fract_y
_atom_site_fract_z
Er1 Er 0.000 0.000 0.000
Cu1 Cu 0.000 0.500 0.500
Cu2 Cu 0.065 0.201 0.500
Cu3 Cu 0.173 0.673 0.246
Sn1 Sn 0.130 0.370 0.000
```

=====

Entry 7:
Tb2Er3Cu2: calculated X-ray diffraction stick pattern (Cu Ka), based on a crystal structure in Alexandria, relaxed with GGA-PBE.
Neutral-atom scattering factors, no anomalous dispersion.

Principal peaks in the range 2θ = 5–70°, sorted by position:
| 2θ/deg | intensity | index |
| --- | --- | --- |
| 28.92 | 39 | 4 0 -1 |
| 29.85 | 88 | 2 0 -3 |
| 31.97 | 84 | 1 1 -2 |
| 32.97 | 100 | 3 1 -1 |
| 33.08 | 68 | 2 0 2 |
| 34.47 | 49 | 4 0 -3 |
| 34.89 | 83 | 3 1 -2 |
| 36.93 | 51 | 1 1 2 |
| 50.80 | 33 | 0 2 0 |
| 57.98 | 35 | 7 1 -2 |

Cell and atoms:
```
data_Tb2Er3Cu2
_chemical_formula_sum 'Tb4 Er6 Cu4'
_cell_length_a 12.444
_cell_length_b 3.594
_cell_length_c 8.980
_cell_angle_alpha 90.00
_cell_angle_beta 117.12
_cell_angle_gamma 90.00
_symmetry_space_group_name_H-M 'C 1 2/m 1'
_symmetry_Int_Tables_number 12
_symmetry_space_group_name_Hall '-C 2y'
loop_
_atom_site_label
_atom_site_type_symbol
_atom_site_fract_x
_atom_site_fract_y
_atom_site_fract_z
Tb1 Tb 0.155 0.000 0.313
Er1 Er 0.000 0.500 0.500
Er2 Er 0.114 0.500 0.944
Cu1 Cu 0.169 0.000 0.731
```

=====

Entry 8:
Tb2Er3Cu4: calculated X-ray diffraction stick pattern (Cu Ka), based on a crystal structure in Alexandria, relaxed with GGA-PBE.
Neutral-atom scattering factors, no anomalous dispersion.

Principal peaks in the range 2θ = 5–70°, sorted by position:
| 2θ/deg | intensity | index |
| --- | --- | --- |
| 31.46 | 35 | 2 1 -2 |
| 31.97 | 40 | 1 2 1 |
| 33.23 | 100 | 2 2 -1 |
| 33.46 | 87 | 2 2 0 |
| 33.62 | 49 | 3 0 0 |
| 34.81 | 100 | 1 1 2 |
| 35.70 | 42 | 3 0 -2 |
| 35.81 | 45 | 1 2 -2 |
| 39.89 | 46 | 0 3 1 |
| 40.64 | 63 | 1 1 -3 |

Cell and atoms:
```
data_Tb2Er3Cu4
_chemical_formula_sum 'Tb4 Er6 Cu8'
_cell_length_a 8.458
_cell_length_b 7.213
_cell_length_c 7.009
_cell_angle_alpha 90.00
_cell_angle_beta 109.01
_cell_angle_gamma 90.00
_symmetry_space_group_name_H-M 'P 1 21/c 1'
_symmetry_Int_Tables_number 14
_symmetry_space_group_name_Hall '-P 2ybc'
loop_
_atom_site_label
_atom_site_type_symbol
_atom_site_fract_x
_atom_site_fract_y
_atom_site_fract_z
Tb1 Tb 0.189 0.180 0.060
Er1 Er 0.235 0.675 0.229
Er2 Er 0.500 0.000 0.500
Cu1 Cu 0.064 0.531 0.849
Cu2 Cu 0.491 0.125 0.879
```

=====

What did the third record say?
SmErTlCu: calculated X-ray diffraction stick pattern (Cu Ka), based on a crystal structure in Alexandria, relaxed with GGA-PBE.
Neutral-atom scattering factors, no anomalous dispersion.

Principal peaks in the range 2θ = 5–70°, sorted by position:
| 2θ/deg | intensity | index |
| --- | --- | --- |
| 20.88 | 11 | 1 1 1 |
| 24.15 | 1 | 2 0 0 |
| 34.42 | 100 | 2 2 0 |
| 40.60 | 6 | 3 1 1 |
| 49.47 | 18 | 4 0 0 |
| 54.25 | 3 | 3 3 1 |
| 61.66 | 37 | 4 2 2 |
| 65.85 | 2 | 5 1 1 |

Cell and atoms:
```
data_SmErTlCu
_chemical_formula_sum 'Sm4 Er4 Tl4 Cu4'
_cell_length_a 7.370
_cell_length_b 7.370
_cell_length_c 7.370
_cell_angle_alpha 90.00
_cell_angle_beta 90.00
_cell_angle_gamma 90.00
_symmetry_space_group_name_H-M 'F -4 3 m'
_symmetry_Int_Tables_number 216
_symmetry_space_group_name_Hall 'F -4 2 3'
loop_
_atom_site_label
_atom_site_type_symbol
_atom_site_fract_x
_atom_site_fract_y
_atom_site_fract_z
Sm1 Sm 0.000 0.000 0.000
Er1 Er 0.000 0.000 0.500
Tl1 Tl 0.250 0.250 0.250
Cu1 Cu 0.250 0.250 0.750
```